Structure and computed X-ray powder pattern of CeHf4Zr2 (a PBE-relaxed structure; Cu Ka).
Kinematic intensities with the Lorentz-polarization factor, no thermal factor.

Main lines, in order of falling intensity (5 to 70 degrees two-theta):
32.11°, d = 2.787 Å, intensity 100, (1 3 1)
38.23°, d = 2.354 Å, intensity 92, (1 5 0)
32.39°, d = 2.764 Å, intensity 60, (3 1 -2)
38.34°, d = 2.348 Å, intensity 40, (2 4 -2)
24.77°, d = 3.595 Å, intensity 29, (1 1 -2)
38.45°, d = 2.341 Å, intensity 28, (3 1 -3)
50.80°, d = 1.797 Å, intensity 26, (2 6 -2)
65.24°, d = 1.430 Å, intensity 20, (1 7 2)
51.08°, d = 1.788 Å, intensity 19, (4 0 0)
67.14°, d = 1.394 Å, intensity 10, (2 6 2)

Crystal structure
abc: 8.731 12.474 7.606
angles: 90.00 124.92 90.00
Space group Cc (No. 9)
Unique sites:
Ce: 0.000 0.125 0.000 (multiplicity 4)
Hf: 0.165 0.253 0.424 (multiplicity 4)
Hf: 0.175 0.087 0.756 (multiplicity 4)
Hf: 0.240 0.497 0.575 (multiplicity 4)
Hf: 0.419 0.163 0.244 (multiplicity 4)
Zr: 0.314 0.314 0.878 (multiplicity 4)
Zr: 0.435 0.064 0.622 (multiplicity 4)

***

Structure and computed X-ray powder pattern of CeHfZr3 (a PBE-relaxed structure; Cu Ka).
Kinematic intensities with the Lorentz-polarization factor, no thermal factor.

Main lines, in order of falling intensity (5 to 70 degrees two-theta):
34.61°, d = 2.592 Å, intensity 100, (2 1 1)
35.58°, d = 2.523 Å, intensity 76, (2 2 -1)
35.06°, d = 2.559 Å, intensity 56, (1 0 -3)
33.44°, d = 2.679 Å, intensity 54, (1 2 2)
35.33°, d = 2.541 Å, intensity 32, (0 4 0)
31.74°, d = 2.819 Å, intensity 27, (1 3 -1)
33.04°, d = 2.711 Å, intensity 22, (1 3 1)
17.45°, d = 5.081 Å, intensity 21, (0 2 0)
40.89°, d = 2.207 Å, intensity 18, (2 1 2)
50.60°, d = 1.804 Å, intensity 17, (1 4 -3)

Crystal structure
abc: 5.994 10.162 8.084
angles: 90.00 97.01 90.00
Space group P2_1/m (No. 11)
Unique sites:
Ce: 0.030 0.250 0.134 (multiplicity 2)
Ce: 0.331 0.250 0.571 (multiplicity 2)
Hf: 0.184 0.750 0.221 (multiplicity 2)
Hf: 0.452 0.750 0.915 (multiplicity 2)
Zr: 0.165 0.605 0.565 (multiplicity 4)
Zr: 0.220 0.048 0.889 (multiplicity 4)
Zr: 0.339 0.026 0.271 (multiplicity 4)

***

Structure and computed X-ray powder pattern of Ce5Hg3 (a PBE-relaxed structure; Cu Ka).
Kinematic intensities with the Lorentz-polarization factor, no thermal factor.

Main lines, in order of falling intensity (5 to 70 degrees two-theta):
33.51°, d = 2.674 Å, intensity 100, (2 0 4)
32.89°, d = 2.723 Å, intensity 53, (2 2 0)
59.12°, d = 1.563 Å, intensity 40, (4 2 4)
47.20°, d = 1.926 Å, intensity 19, (4 0 0)
60.31°, d = 1.535 Å, intensity 18, (2 2 8)
49.03°, d = 1.858 Å, intensity 9, (0 0 8)
68.97°, d = 1.362 Å, intensity 6, (4 4 0)
23.10°, d = 3.851 Å, intensity 2, (2 0 0)
41.10°, d = 2.196 Å, intensity 1, (2 2 4)
23.95°, d = 3.716 Å, intensity 1, (0 0 4)

Crystal structure
abc: 7.695 7.709 14.863
angles: 90.00 90.00 90.00
Space group Fmmm (No. 69)
Unique sites:
Ce: 0.000 0.000 0.000 (multiplicity 4)
Ce: 0.250 0.250 0.124 (multiplicity 16)
Hg: 0.000 0.000 0.247 (multiplicity 8)
Hg: 0.000 0.000 0.500 (multiplicity 4)

***

Structure and computed X-ray powder pattern of Ce4Hg3 (a PBE-relaxed structure; Cu Ka).
Kinematic intensities with the Lorentz-polarization factor, no thermal factor.

Main lines, in order of falling intensity (5 to 70 degrees two-theta):
33.35°, d = 2.686 Å, intensity 100, (1 4 0)
33.46°, d = 2.678 Å, intensity 72, (3 -2 2)
59.65°, d = 1.550 Å, intensity 30, (6 3 0)
47.97°, d = 1.897 Å, intensity 24, (4 2 2)
38.07°, d = 2.364 Å, intensity 20, (3 1 2)
42.25°, d = 2.139 Å, intensity 14, (2 3 2)
28.19°, d = 3.165 Å, intensity 10, (0 1 2)
30.93°, d = 2.891 Å, intensity 10, (2 0 2)
29.50°, d = 3.028 Å, intensity 9, (4 -3 1)
65.94°, d = 1.417 Å, intensity 7, (5 -2 4)

Crystal structure
abc: 14.2145 14.2145 6.5506
angles: 90.00 90.00 120.00
Space group R-3 (No. 148, hexagonal axes)
Unique sites:
Ce: 0.0000 0.0000 0.0000 (multiplicity 3)
Ce: 0.0000 0.0000 0.5000 (multiplicity 3)
Ce: 0.0691 0.4734 0.3864 (multiplicity 18)
Hg: 0.0601 0.2335 0.2313 (multiplicity 18)